The following is a computed XRD peak list of SrMgAsH. It was derived from a PBE-relaxed structure, using Cu Kα.
Neutral-atom scattering factors, no anomalous dispersion.

Top 6 peaks for 2θ from 10° to 90°, low angle first:
Position (°2θ), I (rel.), (hkl)
23.21, 14, 1 0 0
29.79, 100, 0 1 1
40.78, 37, 1 1 0
51.31, 21, 2 0 1
56.47, 24, 1 1 2
67.53, 19, 1 2 1

Structural model:
```
data_SrMgAsH
_chemical_formula_sum 'Sr1 Mg1 As1 H1'
_symmetry_space_group_name_H-M 'P 3 m 1'
_symmetry_Int_Tables_number 156
_cell_length_a 4.4251
_cell_length_b 4.4251
_cell_length_c 4.8177
_cell_angle_alpha 90.00
_cell_angle_beta 90.00
_cell_angle_gamma 120.00
loop_
_symmetry_equiv_pos_as_xyz
'x,y,z'
'-y,x-y,z'
'-x+y,-x,z'
'-y,-x,z'
'-x+y,y,z'
'x,x-y,z'
loop_
_atom_site_label
_atom_site_type_symbol
_atom_site_fract_x
_atom_site_fract_y
_atom_site_fract_z
_atom_site_occupancy
Sr1 Sr 0.0000 0.0000 0.0000 1
Mg1 Mg 0.6667 0.3333 0.5297 1
As1 As 0.3333 0.6667 0.4460 1
H1 H 0.6667 0.3333 0.9374 1
```

The following is a computed XRD peak list of Mn2AsH2. It was derived from a PBE-relaxed structure, using Cu Kα.
Neutral-atom scattering factors, no anomalous dispersion.

Top 6 peaks for 2θ from 10° to 90°, low angle first:
Position (°2θ), I (rel.), (hkl)
27.20, 55, 1 0 1
42.39, 100, 1 1 2
47.30, 18, 0 0 4
50.35, 30, 2 0 0
71.56, 19, 2 0 4
89.15, 22, 3 1 2

Structural model:
```
data_Mn2AsH2
_chemical_formula_sum 'Mn4 As2 H4'
_symmetry_space_group_name_H-M 'I 4/m m m'
_symmetry_Int_Tables_number 139
_symmetry_space_group_name_Hall '-I 4 2'
_cell_length_a 3.6247
_cell_length_b 3.6247
_cell_length_c 7.6871
_cell_angle_alpha 90.00
_cell_angle_beta 90.00
_cell_angle_gamma 90.00
loop_
_atom_site_label
_atom_site_type_symbol
_atom_site_fract_x
_atom_site_fract_y
_atom_site_fract_z
_atom_site_occupancy
Mn1 Mn 0.0000 0.5000 0.2500 1
As1 As 0.0000 0.0000 0.0000 1
H1 H 0.0000 0.0000 0.3250 1
```

The following is a computed XRD peak list of Mn2AsHN. It was derived from a PBE-relaxed structure, using Cu Kα.
Neutral-atom scattering factors, no anomalous dispersion.

Top 6 peaks for 2θ from 10° to 90°, low angle first:
Position (°2θ), I (rel.), (hkl)
23.81, 27, 1 0 0
33.70, 47, 1 0 1
41.68, 100, 1 1 1
48.73, 41, 2 0 0
70.85, 17, 2 0 2
86.21, 22, 3 1 1

Structural model:
```
data_Mn2AsHN
_chemical_formula_sum 'Mn2 As1 H1 N1'
_symmetry_space_group_name_H-M 'P 4 m m'
_symmetry_Int_Tables_number 99
_cell_length_a 3.7371
_cell_length_b 3.7371
_cell_length_c 3.7867
_cell_angle_alpha 90.00
_cell_angle_beta 90.00
_cell_angle_gamma 90.00
loop_
_symmetry_equiv_pos_as_xyz
'x,y,z'
'-y,x,z'
'-x,-y,z'
'y,-x,z'
'-x,y,z'
'y,x,z'
'x,-y,z'
'-y,-x,z'
loop_
_atom_site_label
_atom_site_type_symbol
_atom_site_fract_x
_atom_site_fract_y
_atom_site_fract_z
_atom_site_occupancy
Mn1 Mn 0.0000 0.5000 0.0000 1
As1 As 0.0000 0.0000 0.5756 1
H1 H 0.5000 0.5000 0.4260 1
N1 N 0.5000 0.5000 0.1518 1
```

> Which formula does entry 2 have?

Mn2AsH2